Record 1
For CrTePdSe, a crystal structure in Alexandria, relaxed with GGA-PBE gives the theoretical PXRD pattern in this record (Cu Kα).
Kinematic intensities with the Lorentz-polarization factor, no thermal factor.

The 6 most intense peaks (2θ = 10–90°), sorted by position:
Position (°2θ), I (rel.)
12.8, 78
25.0, 100
28.2, 58
36.2, 85
44.0, 85
47.0, 86

Structure:
Cell: 4.1201 4.1201 6.9007 Å, 90.00 90.00 120.00°
Space group P3m1 (No. 156)
Symmetry-distinct sites (fractional):
1 Cr 0.0000 0.0000 0.0000 x1
2 Te 0.0000 0.0000 0.3961 x1
3 Pd 0.3333 0.6667 0.2398 x1
4 Se 0.3333 0.6667 0.8773 x1

=====

Record 2
For Y2Be2AlPd5, a crystal structure in Alexandria, relaxed with GGA-PBE gives the theoretical PXRD pattern in this record (Cu Kα).
Kinematic intensities with the Lorentz-polarization factor, no thermal factor.

The 6 most intense peaks (2θ = 10–90°), sorted by position:
Position (°2θ), I (rel.)
26.0, 30
33.4, 82
37.2, 33
38.5, 75
39.6, 100
42.9, 36

Structure:
Cell: 9.6526 9.6526 3.4220 Å, 90.00 90.00 90.00°
Space group P4/mbm (No. 127)
Symmetry-distinct sites (fractional):
1 Y 0.1775 0.3225 0.0000 x4
2 Be 0.1190 0.6190 0.0000 x4
3 Al 0.0000 0.0000 0.0000 x2
4 Pd 0.0000 0.5000 0.5000 x2
5 Pd 0.0664 0.7876 0.5000 x8